Calculated powder diffraction line list of RbPd for λ = 1.5418 Å (Cu Kα), from a crystal structure in Alexandria, relaxed with PBE.
Neutral-atom scattering factors, no anomalous dispersion.

Largest 8 diffraction maxima, low angle first, 10° ≤ 2θ ≤ 80°:
index, two_theta, d (Å), I (rel.)
0 2 0, 15.85, 5.590, 45.6
1 1 1, 26.32, 3.386, 100.0
1 3 0, 29.34, 3.044, 98.3
2 0 0, 33.96, 2.640, 51.4
1 3 1, 34.89, 2.571, 60.5
0 4 1, 37.22, 2.416, 39.8
0 0 2, 37.44, 2.402, 39.2
1 3 2, 48.26, 1.886, 48.1

Structural model:
Cell lengths 5.2790, 11.1793, 4.8035 Å; angles 90.00, 90.00, 90.00 degrees
Space group Cmcm (No. 63)
Inequivalent atoms, fractional coordinates:
Rb 0.0000 0.1460 0.2500 (multiplicity 4)
Pd 0.0000 0.4581 0.2500 (multiplicity 4)

Calculated powder diffraction line list of KRbHgSe2 for λ = 1.5418 Å (Cu Kα), from a crystal structure in Alexandria, relaxed with PBE.
Neutral-atom scattering factors, no anomalous dispersion.

Largest 8 diffraction maxima, low angle first, 10° ≤ 2θ ≤ 80°:
index, two_theta, d (Å), I (rel.)
0 2 0, 11.16, 7.929, 68.0
0 0 1, 13.83, 6.404, 67.7
2 0 0, 22.67, 3.923, 100.0
1 3 1, 24.61, 3.618, 78.5
2 0 1, 26.65, 3.345, 63.4
2 2 1, 28.97, 3.082, 65.8
0 2 2, 30.10, 2.969, 62.1
2 4 1, 35.10, 2.557, 46.7

Structural model:
Cell lengths 7.8458, 15.8586, 6.4040 Å; angles 90.00, 90.00, 90.00 degrees
Space group Cmme (No. 67)
Inequivalent atoms, fractional coordinates:
K 0.2500 0.0000 0.0000 (multiplicity 4)
Rb 0.0000 0.2500 0.2840 (multiplicity 4)
Hg 0.0000 0.0000 0.5000 (multiplicity 4)
Se 0.0000 0.1253 0.7317 (multiplicity 8)